1.
Theoretical powder diffraction line list of AcNbCd for Cu Kα, 1.54184 Å, from the GGA-PBE geometry in Alexandria.
Intensities are scaled so that the largest is 100.

Main lines, low angle first (2θ from 15° to 90°):
3.836 Å, I = 15
3.191 Å, I = 32
2.712 Å, I = 100
2.304 Å, I = 16
1.916 Å, I = 17
1.756 Å, I = 14
1.643 Å, I = 10
1.565 Å, I = 21
1.473 Å, I = 12
1.212 Å, I = 12

Cell: 3.833 3.833 11.523 Å, 90.00 90.00 90.00°
Space group P4/mmm (No. 123)
Symmetry-distinct sites (fractional):
Ac  0.000  0.000  0.202 x2
Nb  0.500  0.500  0.395 x2
Cd  0.000  0.000  0.500 x1
Cd  0.500  0.500  0.000 x1

2.
Theoretical powder diffraction line list of Ca2Mg2Tl3 for Cu Kα, 1.54184 Å, from the GGA-PBE geometry in Alexandria.
Intensities are scaled so that the largest is 100.

Main lines, low angle first (2θ from 15° to 90°):
4.202 Å, I = 48
3.645 Å, I = 16
3.255 Å, I = 11
2.753 Å, I = 100
2.196 Å, I = 11
2.132 Å, I = 10
1.821 Å, I = 12
1.686 Å, I = 15
1.589 Å, I = 16
1.519 Å, I = 10

Cell: 4.264 25.198 3.645 Å, 90.00 90.00 90.00°
Space group Cmmm (No. 65)
Symmetry-distinct sites (fractional):
Ca  0.000  0.075  0.000 x4
Mg  0.000  0.209  0.000 x4
Tl  0.000  0.342  0.500 x4
Tl  0.000  0.500  0.500 x2

3.
Theoretical powder diffraction line list of La4Er11S22 for Cu Kα, 1.54184 Å, from the GGA-PBE geometry in Alexandria.
Intensities are scaled so that the largest is 100.

Main lines, low angle first (2θ from 15° to 90°):
3.783 Å, I = 79
3.679 Å, I = 100
3.389 Å, I = 63
3.270 Å, I = 47
3.234 Å, I = 66
2.852 Å, I = 64
2.652 Å, I = 54
2.151 Å, I = 55
2.058 Å, I = 41
1.981 Å, I = 44

Cell: 39.266 3.963 11.352 Å, 90.00 91.57 90.00°
Space group C2/m (No. 12)
Symmetry-distinct sites (fractional):
La  0.105  0.000  0.013 x4
La  0.133  0.500  0.651 x4
Er  0.000  0.000  0.000 x2
Er  0.038  0.500  0.730 x4
Er  0.070  0.000  0.361 x4
Er  0.158  0.500  0.301 x4
Er  0.203  0.000  0.941 x4
Er  0.237  0.500  0.649 x4
S  0.008  0.000  0.240 x4
S  0.046  0.500  0.970 x4
S  0.055  0.500  0.507 x4
S  0.087  0.000  0.753 x4
S  0.093  0.500  0.213 x4
S  0.135  0.000  0.451 x4
S  0.151  0.500  0.909 x4
S  0.169  0.000  0.152 x4
S  0.190  0.000  0.691 x4
S  0.220  0.500  0.411 x4
S  0.245  0.500  0.881 x4

4.
Theoretical powder diffraction line list of Y2Zn5Cd for Cu Kα, 1.54184 Å, from the GGA-PBE geometry in Alexandria.
Intensities are scaled so that the largest is 100.

Main lines, low angle first (2θ from 15° to 90°):
3.075 Å, I = 33
2.711 Å, I = 100
2.597 Å, I = 73
2.453 Å, I = 46
2.328 Å, I = 25
2.159 Å, I = 51
2.020 Å, I = 27
1.996 Å, I = 26
1.972 Å, I = 19
1.383 Å, I = 19

Cell: 4.318 16.256 9.094 Å, 90.00 90.00 90.00°
Space group Cmcm (No. 63)
Symmetry-distinct sites (fractional):
Y  0.000  0.000  0.000 x4
Y  0.000  0.201  0.250 x4
Zn  0.000  0.188  0.608 x8
Zn  0.000  0.347  0.519 x8
Zn  0.000  0.391  0.250 x4
Cd  0.000  0.448  0.750 x4

5.
Theoretical powder diffraction line list of Pm3ErTm4 for Cu Kα, 1.54184 Å, from the GGA-PBE geometry in Alexandria.
Intensities are scaled so that the largest is 100.

Main lines, low angle first (2θ from 15° to 90°):
2.900 Å, I = 100
2.882 Å, I = 33
2.508 Å, I = 67
1.777 Å, I = 24
1.769 Å, I = 24
1.515 Å, I = 14
1.513 Å, I = 28
1.508 Å, I = 14
1.450 Å, I = 12
1.153 Å, I = 12

Cell: 6.153 3.556 11.712 Å, 90.00 100.12 90.00°
Space group P2/m (No. 10)
Symmetry-distinct sites (fractional):
Pm  0.000  0.000  0.000 x1
Pm  0.000  0.500  0.500 x1
Pm  0.500  0.000  0.500 x1
Er  0.500  0.500  0.000 x1
Tm  0.249  0.500  0.248 x2
Tm  0.251  0.000  0.752 x2

6.
Theoretical powder diffraction line list of LiScPb2 for Cu Kα, 1.54184 Å, from the GGA-PBE geometry in Alexandria.
Intensities are scaled so that the largest is 100.

Main lines, low angle first (2θ from 15° to 90°):
4.224 Å, I = 97
3.379 Å, I = 57
3.361 Å, I = 57
2.639 Å, I = 100
2.630 Å, I = 99
2.401 Å, I = 39
2.365 Å, I = 37
2.088 Å, I = 32
2.064 Å, I = 31
1.790 Å, I = 40

Cell: 3.361 4.224 6.759 Å, 90.00 90.87 90.00°
Space group P2/m (No. 10)
Symmetry-distinct sites (fractional):
Li  0.000  0.000  0.000 x1
Sc  0.000  0.000  0.500 x1
Pb  0.496  0.500  0.246 x2

7.
Theoretical powder diffraction line list of Nd2Ag3Pt2 for Cu Kα, 1.54184 Å, from the GGA-PBE geometry in Alexandria.
Intensities are scaled so that the largest is 100.

Main lines, low angle first (2θ from 15° to 90°):
4.382 Å, I = 21
2.691 Å, I = 100
2.638 Å, I = 32
2.576 Å, I = 41
2.406 Å, I = 91
2.382 Å, I = 29
2.219 Å, I = 34
2.191 Å, I = 33
2.106 Å, I = 51
1.375 Å, I = 25

Cell: 10.220 4.211 7.194 Å, 90.00 96.58 90.00°
Space group C2/m (No. 12)
Symmetry-distinct sites (fractional):
Nd  0.119  0.000  0.337 x4
Ag  0.000  0.500  0.000 x2
Ag  0.192  0.000  0.886 x4
Pt  0.095  0.500  0.648 x4

8.
Theoretical powder diffraction line list of Ba3CaLa2Cu6O14 for Cu Kα, 1.54184 Å, from the GGA-PBE geometry in Alexandria.
Intensities are scaled so that the largest is 100.

Main lines, low angle first (2θ from 15° to 90°):
2.775 Å, I = 46
2.749 Å, I = 100
2.252 Å, I = 12
1.962 Å, I = 25
1.926 Å, I = 14
1.597 Å, I = 34
1.582 Å, I = 17
1.374 Å, I = 16
1.220 Å, I = 8
1.126 Å, I = 9

Cell: 7.703 7.846 11.779 Å, 90.00 90.00 90.00°
Space group Cmm2 (No. 35)
Symmetry-distinct sites (fractional):
Ba  0.000  0.000  0.000 x2
Ba  0.000  0.000  0.367 x2
Ba  0.000  0.500  0.362 x2
Ca  0.000  0.500  0.680 x2
La  0.000  0.000  0.685 x2
La  0.000  0.500  0.987 x2
Cu  0.250  0.250  0.176 x4
Cu  0.250  0.250  0.534 x4
Cu  0.250  0.250  0.832 x4
O  0.000  0.249  0.556 x4
O  0.000  0.258  0.824 x4
O  0.214  0.500  0.159 x4
O  0.243  0.500  0.820 x4
O  0.249  0.000  0.551 x4
O  0.250  0.250  0.016 x4
O  0.250  0.250  0.333 x4

9.
Theoretical powder diffraction line list of HgCl for Cu Kα, 1.54184 Å, from the GGA-PBE geometry in Alexandria.
Intensities are scaled so that the largest is 100.

Main lines, low angle first (2θ from 15° to 90°):
3.581 Å, I = 56
3.312 Å, I = 26
3.198 Å, I = 33
2.699 Å, I = 100
2.219 Å, I = 27
2.179 Å, I = 11
1.862 Å, I = 14
1.847 Å, I = 33
1.719 Å, I = 14
1.669 Å, I = 11

Cell: 3.918 7.162 8.717 Å, 90.00 90.00 90.00°
Space group Cmme (No. 67)
Symmetry-distinct sites (fractional):
Hg  0.000  0.250  0.123 x4
Cl  0.000  0.250  0.679 x4

10.
Theoretical powder diffraction line list of Li2CrSiN4 for Cu Kα, 1.54184 Å, from the GGA-PBE geometry in Alexandria.
Intensities are scaled so that the largest is 100.

Main lines, low angle first (2θ from 15° to 90°):
4.006 Å, I = 100
2.539 Å, I = 71
2.329 Å, I = 10
2.305 Å, I = 6
1.998 Å, I = 14
1.638 Å, I = 13
1.630 Å, I = 11
1.521 Å, I = 20
1.372 Å, I = 15
1.263 Å, I = 7

Cell: 4.610 4.610 8.094 Å, 90.00 90.00 90.00°
Space group I-4 (No. 82)
Symmetry-distinct sites (fractional):
Li  0.000  0.000  0.000 x2
Li  0.000  0.500  0.250 x2
Cr  0.000  0.500  0.750 x2
Si  0.000  0.000  0.500 x2
N  0.180  0.752  0.626 x8

11.
Theoretical powder diffraction line list of K3Na3Cd2 for Cu Kα, 1.54184 Å, from the GGA-PBE geometry in Alexandria.
Intensities are scaled so that the largest is 100.

Main lines, low angle first (2θ from 15° to 90°):
5.877 Å, I = 40
5.220 Å, I = 61
5.069 Å, I = 84
3.785 Å, I = 54
3.390 Å, I = 100
3.017 Å, I = 90
2.999 Å, I = 65
2.805 Å, I = 77
2.628 Å, I = 76
2.543 Å, I = 41

Cell: 5.255 6.637 10.535 Å, 97.15 104.11 90.17°
Space group P-1 (No. 2)
Symmetry-distinct sites (fractional):
K  0.000  0.000  0.000 x1
K  0.165  0.582  0.329 x2
Na  0.364  0.896  0.728 x2
Na  0.500  0.500  0.000 x1
Cd  0.231  0.094  0.462 x2

12.
Theoretical powder diffraction line list of YHgSb2 for Cu Kα, 1.54184 Å, from the GGA-PBE geometry in Alexandria.
Intensities are scaled so that the largest is 100.

Main lines, low angle first (2θ from 15° to 90°):
3.155 Å, I = 16
2.948 Å, I = 100
2.516 Å, I = 98
2.154 Å, I = 22
2.085 Å, I = 37
1.605 Å, I = 49
1.475 Å, I = 29
1.318 Å, I = 17
1.272 Å, I = 11
1.204 Å, I = 17

Cell: 4.169 4.169 6.310 Å, 90.00 90.00 90.00°
Space group P4mm (No. 99)
Symmetry-distinct sites (fractional):
Y  0.000  0.000  0.000 x1
Hg  0.500  0.500  0.316 x1
Sb  0.000  0.000  0.491 x1
Sb  0.500  0.500  0.843 x1

13.
Theoretical powder diffraction line list of MgTlBrCl2 for Cu Kα, 1.54184 Å, from the GGA-PBE geometry in Alexandria.
Intensities are scaled so that the largest is 100.

Main lines, low angle first (2θ from 15° to 90°):
4.141 Å, I = 29
3.787 Å, I = 43
3.640 Å, I = 100
3.115 Å, I = 32
2.968 Å, I = 38
2.896 Å, I = 65
2.685 Å, I = 26
2.639 Å, I = 45
2.282 Å, I = 28
2.225 Å, I = 54

Cell: 4.173 17.030 8.282 Å, 90.00 90.00 90.00°
Space group Cmcm (No. 63)
Symmetry-distinct sites (fractional):
Mg  0.000  0.000  0.000 x4
Tl  0.000  0.293  0.250 x4
Br  0.000  0.498  0.250 x4
Cl  0.000  0.137  0.003 x8